The following is a theoretical powder XRD pattern of AcTlPO4. It was derived from a structure optimized by DFT (GGA-PBE), using Cu Ka.
Neutral-atom scattering factors, no anomalous dispersion.

Most intense lines, 2θ from 15° to 90°, sorted by position:
| h k l | 2theta | intensity |
| --- | --- | --- |
| 1 1 1 | 16.98 | 72 |
| 2 2 0 | 27.90 | 100 |
| 3 1 1 | 32.84 | 45 |
| 3 3 1 | 43.62 | 27 |
| 4 2 2 | 49.36 | 41 |
| 5 1 1 | 52.57 | 19 |
| 4 4 0 | 57.65 | 15 |
| 5 3 1 | 60.56 | 16 |
| 6 2 0 | 65.24 | 17 |
| 6 4 2 | 79.26 | 22 |

Cell and atoms:
```
data_AcTlPO4
_symmetry_space_group_name_H-M 'F -4 3 m'
_symmetry_Int_Tables_number 216
_symmetry_space_group_name_Hall 'F -4 2 3'
_cell_length_a 9.045
_cell_length_b 9.045
_cell_length_c 9.045
_cell_angle_alpha 90.00
_cell_angle_beta 90.00
_cell_angle_gamma 90.00
loop_
_atom_site_label
_atom_site_fract_x
_atom_site_fract_y
_atom_site_fract_z
Ac1 0.000 0.000 0.000
Tl1 0.250 0.250 0.250
P1 0.250 0.250 0.750
O1 0.151 0.151 0.849
```


The following is a theoretical powder XRD pattern of La4HgI4. It was derived from a structure optimized by DFT (GGA-PBE), using Cu Ka.
Neutral-atom scattering factors, no anomalous dispersion.

Most intense lines, 2θ from 15° to 90°, sorted by position:
| h k l | 2theta | intensity |
| --- | --- | --- |
| 1 0 1 | 18.31 | 10 |
| 1 1 0 | 31.65 | 100 |
| 1 0 10 | 32.33 | 89 |
| 0 2 10 | 45.88 | 33 |
| 3 0 0 | 56.38 | 19 |
| 2 1 10 | 56.81 | 35 |
| 0 1 20 | 58.09 | 13 |
| 2 2 0 | 66.11 | 12 |
| 1 3 10 | 75.53 | 15 |
| 1 2 20 | 76.64 | 12 |

Cell and atoms:
```
data_La4HgI4
_symmetry_space_group_name_H-M 'R -3 m'
_symmetry_Int_Tables_number 166
_symmetry_space_group_name_Hall '-R 3 2"'
_cell_length_a 5.6532
_cell_length_b 5.6532
_cell_length_c 33.5727
_cell_angle_alpha 90.00
_cell_angle_beta 90.00
_cell_angle_gamma 120.00
loop_
_atom_site_label
_atom_site_fract_x
_atom_site_fract_y
_atom_site_fract_z
La1 0.0000 0.0000 0.0947
La2 0.0000 0.0000 0.3050
Hg1 0.0000 0.0000 0.0000
I1 0.0000 0.0000 0.2019
I2 0.0000 0.0000 0.4044
```


The following is a theoretical powder XRD pattern of CrGeSe4. It was derived from a structure optimized by DFT (GGA-PBE), using Cu Ka.
Neutral-atom scattering factors, no anomalous dispersion.

Most intense lines, 2θ from 15° to 90°, sorted by position:
| h k l | 2theta | intensity |
| --- | --- | --- |
| 1 0 1 | 18.06 | 13 |
| 1 1 2 | 28.43 | 100 |
| 2 0 0 | 32.08 | 11 |
| 2 2 0 | 46.01 | 22 |
| 2 0 4 | 47.92 | 38 |
| 3 1 2 | 54.98 | 30 |
| 1 1 6 | 58.32 | 11 |
| 4 0 0 | 67.10 | 7 |
| 3 1 6 | 77.31 | 10 |
| 4 2 4 | 86.60 | 13 |

Cell and atoms:
```
data_CrGeSe4
_symmetry_space_group_name_H-M 'P -4 2 c'
_symmetry_Int_Tables_number 112
_symmetry_space_group_name_Hall 'P -4 2c'
_cell_length_a 5.580
_cell_length_b 5.580
_cell_length_c 10.362
_cell_angle_alpha 90.00
_cell_angle_beta 90.00
_cell_angle_gamma 90.00
loop_
_atom_site_label
_atom_site_fract_x
_atom_site_fract_y
_atom_site_fract_z
Cr1 0.000 0.000 0.000
Ge1 0.000 0.500 0.250
Se1 0.248 0.254 0.885
```


The following is a theoretical powder XRD pattern of Re4Si5. It was derived from a structure optimized by DFT (GGA-PBE), using Cu Ka.
Neutral-atom scattering factors, no anomalous dispersion.

Most intense lines, 2θ from 15° to 90°, sorted by position:
| h k l | 2theta | intensity |
| --- | --- | --- |
| 0 2 0 | 22.76 | 74 |
| 1 0 1 | 30.39 | 44 |
| 0 0 4 | 34.13 | 32 |
| 1 2 1 | 38.31 | 42 |
| 1 0 3 | 39.06 | 90 |
| 0 2 4 | 41.42 | 42 |
| 0 3 3 | 43.29 | 52 |
| 1 3 0 | 45.71 | 100 |
| 1 3 4 | 58.27 | 23 |
| 1 5 4 | 77.63 | 23 |

Cell and atoms:
```
data_Re4Si5
_symmetry_space_group_name_H-M 'I m m m'
_symmetry_Int_Tables_number 71
_symmetry_space_group_name_Hall '-I 2 2'
_cell_length_a 3.064
_cell_length_b 7.812
_cell_length_c 10.508
_cell_angle_alpha 90.00
_cell_angle_beta 90.00
_cell_angle_gamma 90.00
loop_
_atom_site_label
_atom_site_fract_x
_atom_site_fract_y
_atom_site_fract_z
Re1 0.000 0.195 0.142
Si1 0.000 0.146 0.500
Si2 0.000 0.500 0.222
Si3 0.000 0.500 0.500
```


The following is a theoretical powder XRD pattern of Ac4La4Sm. It was derived from a structure optimized by DFT (GGA-PBE), using Cu Ka.
Neutral-atom scattering factors, no anomalous dispersion.

Most intense lines, 2θ from 15° to 90°, sorted by position:
| h k l | 2theta | intensity |
| --- | --- | --- |
| 3 0 1 | 28.45 | 100 |
| 3 3 0 | 32.91 | 34 |
| 0 0 2 | 33.10 | 17 |
| 6 0 0 | 47.23 | 13 |
| 3 3 2 | 47.37 | 25 |
| 6 3 1 | 56.06 | 30 |
| 3 0 3 | 56.31 | 15 |
| 6 0 2 | 58.88 | 13 |
| 6 3 3 | 76.48 | 12 |
| 9 3 2 | 87.96 | 9 |

Cell and atoms:
```
data_Ac4La4Sm
_symmetry_space_group_name_H-M 'I 4/m m m'
_symmetry_Int_Tables_number 139
_symmetry_space_group_name_Hall '-I 4 2'
_cell_length_a 11.548
_cell_length_b 11.548
_cell_length_c 5.413
_cell_angle_alpha 90.00
_cell_angle_beta 90.00
_cell_angle_gamma 90.00
loop_
_atom_site_label
_atom_site_fract_x
_atom_site_fract_y
_atom_site_fract_z
Ac1 0.165 0.165 0.000
La1 0.000 0.338 0.500
Sm1 0.000 0.000 0.500
```


The following is a theoretical powder XRD pattern of TaVGa3. It was derived from a structure optimized by DFT (GGA-PBE), using Cu Ka.
Neutral-atom scattering factors, no anomalous dispersion.

Most intense lines, 2θ from 15° to 90°, sorted by position:
| h k l | 2theta | intensity |
| --- | --- | --- |
| 2 0 0 | 18.59 | 30 |
| 1 1 2 | 28.71 | 30 |
| 3 1 1 | 32.31 | 53 |
| 4 0 0 | 37.69 | 31 |
| 0 4 0 | 38.09 | 44 |
| 3 1 2 | 39.40 | 100 |
| 0 4 1 | 40.28 | 31 |
| 3 3 1 | 42.38 | 86 |
| 0 2 3 | 43.16 | 88 |
| 3 5 2 | 63.05 | 33 |

Cell and atoms:
```
data_TaVGa3
_symmetry_space_group_name_H-M 'C m c e'
_symmetry_Int_Tables_number 64
_symmetry_space_group_name_Hall '-C 2ac 2'
_cell_length_a 9.546
_cell_length_b 9.449
_cell_length_c 7.017
_cell_angle_alpha 90.00
_cell_angle_beta 90.00
_cell_angle_gamma 90.00
loop_
_atom_site_label
_atom_site_fract_x
_atom_site_fract_y
_atom_site_fract_z
Ta1 0.000 0.145 0.081
V1 0.250 0.084 0.750
Ga1 0.000 0.083 0.700
Ga2 0.177 0.157 0.404
```


The following is a theoretical powder XRD pattern of BaPr2Ga. It was derived from a structure optimized by DFT (GGA-PBE), using Cu Ka.
Neutral-atom scattering factors, no anomalous dispersion.

Most intense lines, 2θ from 15° to 90°, sorted by position:
| h k l | 2theta | intensity |
| --- | --- | --- |
| 1 0 1 | 20.67 | 25 |
| 1 0 4 | 26.80 | 65 |
| 0 1 5 | 29.92 | 100 |
| 1 1 0 | 35.36 | 86 |
| 0 2 4 | 44.92 | 16 |
| 2 0 5 | 46.98 | 29 |
| 1 1 9 | 54.34 | 26 |
| 2 1 4 | 58.43 | 15 |
| 1 2 5 | 60.15 | 27 |
| 3 0 0 | 63.48 | 16 |

Cell and atoms:
```
data_BaPr2Ga
_symmetry_space_group_name_H-M 'R 3 m'
_symmetry_Int_Tables_number 160
_symmetry_space_group_name_Hall 'R 3 -2"'
_cell_length_a 5.0762
_cell_length_b 5.0762
_cell_length_c 20.3515
_cell_angle_alpha 90.00
_cell_angle_beta 90.00
_cell_angle_gamma 120.00
loop_
_atom_site_label
_atom_site_fract_x
_atom_site_fract_y
_atom_site_fract_z
Ba1 0.0000 0.0000 0.0000
Pr1 0.0000 0.0000 0.5555
Pr2 0.0000 0.0000 0.7863
Ga1 0.0000 0.0000 0.1820
```


The following is a theoretical powder XRD pattern of Li4Tl3Pd2. It was derived from a structure optimized by DFT (GGA-PBE), using Cu Ka.
Neutral-atom scattering factors, no anomalous dispersion.

Most intense lines, 2θ from 15° to 90°, sorted by position:
| h k l | 2theta | intensity |
| --- | --- | --- |
| 0 1 0 | 19.67 | 26 |
| 0 1 1 | 20.45 | 63 |
| 1 1 1 | 22.31 | 37 |
| 1 0 -1 | 23.70 | 51 |
| 1 1 2 | 29.27 | 24 |
| 0 0 3 | 37.34 | 100 |
| 1 2 2 | 37.96 | 44 |
| 1 -1 1 | 38.85 | 47 |
| -1 1 2 | 39.40 | 45 |
| 1 2 -1 | 40.86 | 39 |

Cell and atoms:
```
data_Li4Tl3Pd2
_symmetry_space_group_name_H-M 'P -1'
_symmetry_Int_Tables_number 2
_symmetry_space_group_name_Hall '-P 1'
_cell_length_a 4.836
_cell_length_b 5.234
_cell_length_c 7.489
_cell_angle_alpha 74.91
_cell_angle_beta 84.91
_cell_angle_gamma 62.88
loop_
_atom_site_label
_atom_site_fract_x
_atom_site_fract_y
_atom_site_fract_z
Li1 0.151 0.253 0.147
Li2 0.327 0.854 0.502
Tl1 0.000 0.500 0.500
Tl2 0.467 0.623 0.172
Pd1 0.203 0.033 0.821
```


The following is a theoretical powder XRD pattern of Tb4Dy5Al. It was derived from a structure optimized by DFT (GGA-PBE), using Cu Ka.
Neutral-atom scattering factors, no anomalous dispersion.

Most intense lines, 2θ from 15° to 90°, sorted by position:
| h k l | 2theta | intensity |
| --- | --- | --- |
| 1 0 4 | 29.27 | 15 |
| 1 0 5 | 31.37 | 100 |
| 0 0 9 | 33.54 | 10 |
| 1 1 0 | 35.86 | 42 |
| 1 1 9 | 49.91 | 13 |
| 2 0 0 | 51.61 | 15 |
| 1 1 10 | 52.78 | 13 |
| 1 0 14 | 59.85 | 14 |
| 2 1 5 | 61.65 | 29 |
| 2 1 14 | 82.92 | 11 |

Cell and atoms:
```
data_Tb4Dy5Al
_symmetry_space_group_name_H-M 'P 4/m m m'
_symmetry_Int_Tables_number 123
_symmetry_space_group_name_Hall '-P 4 2'
_cell_length_a 3.542
_cell_length_b 3.542
_cell_length_c 24.044
_cell_angle_alpha 90.00
_cell_angle_beta 90.00
_cell_angle_gamma 90.00
loop_
_atom_site_label
_atom_site_fract_x
_atom_site_fract_y
_atom_site_fract_z
Tb1 0.000 0.000 0.105
Tb2 0.000 0.000 0.315
Dy1 0.500 0.500 0.000
Dy2 0.500 0.500 0.210
Dy3 0.500 0.500 0.421
Al1 0.000 0.000 0.500
```


The following is a theoretical powder XRD pattern of Tb8SmY3. It was derived from a structure optimized by DFT (GGA-PBE), using Cu Ka.
Neutral-atom scattering factors, no anomalous dispersion.

Most intense lines, 2θ from 15° to 90°, sorted by position:
| h k l | 2theta | intensity |
| --- | --- | --- |
| 1 2 -1 | 28.30 | 24 |
| 0 2 2 | 31.46 | 24 |
| 2 2 2 | 32.47 | 100 |
| 1 4 1 | 42.82 | 16 |
| 3 3 0 | 50.11 | 20 |
| 2 4 4 | 56.64 | 17 |
| 3 2 5 | 60.34 | 15 |
| 3 5 2 | 60.43 | 7 |
| 2 3 -3 | 60.97 | 14 |
| 5 3 0 | 82.69 | 8 |

Cell and atoms:
```
data_Tb8SmY3
_symmetry_space_group_name_H-M 'P 1'
_symmetry_Int_Tables_number 1
_symmetry_space_group_name_Hall 'P 1'
_cell_length_a 6.310
_cell_length_b 8.482
_cell_length_c 8.495
_cell_angle_alpha 80.04
_cell_angle_beta 68.21
_cell_angle_gamma 68.26
loop_
_atom_site_label
_atom_site_fract_x
_atom_site_fract_y
_atom_site_fract_z
Tb1 0.000 0.000 0.000
Tb2 0.000 0.335 0.665
Tb3 0.080 0.249 0.251
Tb4 0.080 0.585 0.916
Tb5 0.499 0.501 0.501
Tb6 0.499 0.836 0.166
Tb7 0.580 0.084 0.417
Tb8 0.580 0.749 0.751
Sm1 0.584 0.417 0.084
Y1 0.082 0.917 0.584
Y2 0.498 0.167 0.833
Y3 0.997 0.668 0.334
```


The following is a theoretical powder XRD pattern of Pr5CdTe4. It was derived from a structure optimized by DFT (GGA-PBE), using Cu Ka.
Neutral-atom scattering factors, no anomalous dispersion.

Most intense lines, 2θ from 15° to 90°, sorted by position:
| h k l | 2theta | intensity |
| --- | --- | --- |
| 2 1 1 | 24.07 | 1 |
| 1 3 0 | 27.86 | 100 |
| 4 2 0 | 39.81 | 77 |
| 5 0 1 | 47.06 | 1 |
| 4 2 2 | 49.29 | 27 |
| 2 6 0 | 57.57 | 13 |
| 7 1 0 | 65.14 | 35 |
| 7 1 2 | 72.28 | 26 |
| 8 4 0 | 85.84 | 8 |

Cell and atoms:
```
data_Pr5CdTe4
_symmetry_space_group_name_H-M 'I 4'
_symmetry_Int_Tables_number 79
_symmetry_space_group_name_Hall 'I 4'
_cell_length_a 10.123
_cell_length_b 10.123
_cell_length_c 6.407
_cell_angle_alpha 90.00
_cell_angle_beta 90.00
_cell_angle_gamma 90.00
loop_
_atom_site_label
_atom_site_fract_x
_atom_site_fract_y
_atom_site_fract_z
Pr1 0.000 0.000 0.000
Pr2 0.100 0.299 0.501
Cd1 0.000 0.000 0.500
Te1 0.098 0.301 0.001
```


The following is a theoretical powder XRD pattern of Pu2TlIn9. It was derived from a structure optimized by DFT (GGA-PBE), using Cu Ka.
Neutral-atom scattering factors, no anomalous dispersion.

Most intense lines, 2θ from 15° to 90°, sorted by position:
| h k l | 2theta | intensity |
| --- | --- | --- |
| 1 0 0 | 19.03 | 6 |
| 1 0 3 | 26.59 | 6 |
| 1 1 3 | 32.91 | 100 |
| 0 0 6 | 37.30 | 17 |
| 2 0 0 | 38.62 | 33 |
| 2 0 6 | 54.77 | 22 |
| 2 2 0 | 55.76 | 11 |
| 1 1 9 | 64.49 | 12 |
| 3 1 3 | 66.29 | 26 |
| 2 2 6 | 69.01 | 11 |

Cell and atoms:
```
data_Pu2TlIn9
_symmetry_space_group_name_H-M 'P 4/m m m'
_symmetry_Int_Tables_number 123
_symmetry_space_group_name_Hall '-P 4 2'
_cell_length_a 4.663
_cell_length_b 4.663
_cell_length_c 14.466
_cell_angle_alpha 90.00
_cell_angle_beta 90.00
_cell_angle_gamma 90.00
loop_
_atom_site_label
_atom_site_fract_x
_atom_site_fract_y
_atom_site_fract_z
Pu1 0.000 0.000 0.162
Tl1 0.000 0.000 0.500
In1 0.000 0.500 0.000
In2 0.000 0.500 0.322
In3 0.500 0.500 0.158
In4 0.500 0.500 0.500
```